Entry 1:
The following is a simulated powder diffractogram of NiH2O2. It was derived from a structure optimized by DFT (PBE+U), using Cu Ka.
No peak broadening, texture or thermal motion is included.

Largest 10 diffraction maxima, by angle, 10° ≤ 2θ ≤ 90°:
| 2θ (°) | I/Imax | index |
| --- | --- | --- |
| 11.62 | 100 | 0 0 1 |
| 23.35 | 8 | 0 0 2 |
| 32.77 | 7 | 2 0 0 |
| 34.53 | 10 | 1 1 -1 |
| 35.31 | 3 | 0 0 3 |
| 35.59 | 6 | 2 0 1 |
| 39.99 | 11 | 1 1 -2 |
| 41.90 | 5 | 2 0 2 |
| 48.13 | 6 | 1 1 -3 |
| 58.47 | 3 | 3 1 0 |

Atomic structure:
Cell lengths 5.483, 3.151, 7.634 Å; angles 90.00, 93.76, 90.00 degrees
Space group C2 (No. 5)
Symmetry-distinct sites (fractional):
Ni  0.000  0.000  0.000 (multiplicity 2)
H  0.139  0.476  0.740 (multiplicity 4)
O  0.155  0.498  0.866 (multiplicity 4)



Entry 2:
The following is a simulated powder diffractogram of Mn3VCr2P6O24. It was derived from a structure optimized by DFT (PBE+U), using Cu Ka.
No peak broadening, texture or thermal motion is included.

Largest 10 diffraction maxima, by angle, 10° ≤ 2θ ≤ 90°:
| 2θ (°) | I/Imax | index |
| --- | --- | --- |
| 20.44 | 100 | 0 1 -1 |
| 20.53 | 47 | 1 -1 0 |
| 24.11 | 74 | 0 1 2 |
| 24.38 | 67 | 2 0 1 |
| 24.51 | 71 | 1 2 0 |
| 33.17 | 47 | 1 2 3 |
| 33.52 | 46 | 3 1 2 |
| 33.76 | 42 | 2 3 1 |
| 35.75 | 32 | 1 1 -2 |
| 35.90 | 53 | 1 -2 1 |

Atomic structure:
Cell lengths 8.397, 8.408, 8.539 Å; angles 61.76, 61.69, 61.99 degrees
Space group P1 (No. 1)
Symmetry-distinct sites (fractional):
Mn  0.000  0.000  0.000 (multiplicity 1)
Mn  0.211  0.204  0.206 (multiplicity 1)
Mn  0.505  0.492  0.500 (multiplicity 1)
V  0.708  0.705  0.710 (multiplicity 1)
Cr  0.356  0.352  0.355 (multiplicity 1)
Cr  0.858  0.847  0.853 (multiplicity 1)
P  0.110  0.404  0.802 (multiplicity 1)
P  0.311  0.893  0.603 (multiplicity 1)
P  0.403  0.800  0.103 (multiplicity 1)
P  0.610  0.300  0.908 (multiplicity 1)
P  0.804  0.102  0.410 (multiplicity 1)
P  0.903  0.604  0.309 (multiplicity 1)
O  0.040  0.246  0.842 (multiplicity 1)
O  0.103  0.455  0.304 (multiplicity 1)
O  0.107  0.905  0.754 (multiplicity 1)
O  0.175  0.381  0.949 (multiplicity 1)
O  0.244  0.852  0.030 (multiplicity 1)
O  0.263  0.422  0.598 (multiplicity 1)
O  0.308  0.094  0.457 (multiplicity 1)
O  0.360  0.739  0.527 (multiplicity 1)
O  0.381  0.944  0.173 (multiplicity 1)
O  0.418  0.595  0.248 (multiplicity 1)
O  0.463  0.296  0.107 (multiplicity 1)
O  0.464  0.837  0.690 (multiplicity 1)
O  0.540  0.329  0.760 (multiplicity 1)
O  0.599  0.260  0.428 (multiplicity 1)
O  0.608  0.779  0.942 (multiplicity 1)
O  0.691  0.461  0.847 (multiplicity 1)
O  0.750  0.529  0.347 (multiplicity 1)
O  0.772  0.098  0.923 (multiplicity 1)
O  0.780  0.941  0.613 (multiplicity 1)
O  0.841  0.034  0.257 (multiplicity 1)
O  0.844  0.684  0.466 (multiplicity 1)
O  0.918  0.759  0.107 (multiplicity 1)
O  0.947  0.607  0.779 (multiplicity 1)
O  0.953  0.169  0.386 (multiplicity 1)



Entry 3:
The following is a simulated powder diffractogram of MgMn6O7F5. It was derived from a structure optimized by DFT (PBE+U), using Cu Ka.
No peak broadening, texture or thermal motion is included.

Largest 10 diffraction maxima, by angle, 10° ≤ 2θ ≤ 90°:
| 2θ (°) | I/Imax | index |
| --- | --- | --- |
| 23.85 | 99 | 1 1 1 |
| 26.55 | 100 | -1 1 1 |
| 34.42 | 26 | 1 -1 2 |
| 34.80 | 59 | 0 0 3 |
| 35.00 | 23 | 0 2 -1 |
| 38.24 | 32 | 1 2 -1 |
| 49.87 | 25 | 1 1 4 |
| 50.02 | 20 | 1 3 0 |
| 52.63 | 22 | -1 1 4 |
| 54.68 | 24 | -2 2 2 |

Atomic structure:
Cell lengths 5.181, 5.723, 7.805 Å; angles 83.04, 86.56, 84.65 degrees
Space group P1 (No. 1)
Symmetry-distinct sites (fractional):
Mg  0.000  0.000  0.000 (multiplicity 1)
Mn  0.041  0.017  0.515 (multiplicity 1)
Mn  0.084  0.388  0.174 (multiplicity 1)
Mn  0.496  0.161  0.805 (multiplicity 1)
Mn  0.500  0.490  0.502 (multiplicity 1)
Mn  0.504  0.834  0.183 (multiplicity 1)
Mn  0.920  0.612  0.828 (multiplicity 1)
O  0.132  0.327  0.932 (multiplicity 1)
O  0.177  0.040  0.237 (multiplicity 1)
O  0.348  0.194  0.587 (multiplicity 1)
O  0.360  0.549  0.275 (multiplicity 1)
O  0.645  0.444  0.727 (multiplicity 1)
O  0.840  0.948  0.768 (multiplicity 1)
O  0.856  0.674  0.077 (multiplicity 1)
F  0.151  0.661  0.609 (multiplicity 1)
F  0.343  0.862  0.918 (multiplicity 1)
F  0.644  0.135  0.064 (multiplicity 1)
F  0.666  0.797  0.431 (multiplicity 1)
F  0.857  0.334  0.395 (multiplicity 1)



Entry 4:
The following is a simulated powder diffractogram of LiCoF4. It was derived from a structure optimized by DFT (PBE+U), using Cu Ka.
No peak broadening, texture or thermal motion is included.

Largest 10 diffraction maxima, by angle, 10° ≤ 2θ ≤ 90°:
| 2θ (°) | I/Imax | index |
| --- | --- | --- |
| 17.60 | 96 | 1 0 0 |
| 25.59 | 74 | 0 1 1 |
| 26.74 | 100 | 1 1 -1 |
| 37.75 | 17 | 2 1 -1 |
| 40.01 | 27 | 0 1 2 |
| 40.54 | 21 | 2 1 0 |
| 52.63 | 34 | 1 1 -3 |
| 53.02 | 19 | 2 2 0 |
| 55.09 | 24 | 2 2 -2 |
| 66.76 | 16 | 1 3 1 |

Atomic structure:
Cell lengths 5.532, 4.745, 5.622 Å; angles 90.00, 114.38, 90.00 degrees
Space group P2_1/c (No. 14)
Symmetry-distinct sites (fractional):
Li  0.000  0.000  0.000 (multiplicity 2)
Co  0.500  0.000  0.500 (multiplicity 2)
F  0.179  0.183  0.373 (multiplicity 4)
F  0.353  0.705  0.657 (multiplicity 4)